Structure and theoretical powder diffractogram of CoGe2Os (a structure optimized by DFT (PBE); Cu Kα (weighted mean of Kα1 and Kα2)).
Kinematic intensities with the Lorentz-polarization factor, no thermal factor.

Lattice parameters (Å, degrees): 4.509 4.509 5.717 90.00 90.00 102.09
Fractional positions:
Co: 0.047 0.953 0.750
Co: 0.953 0.047 0.250
Ge: 0.082 0.592 0.085
Ge: 0.408 0.918 0.415
Ge: 0.592 0.082 0.915
Ge: 0.918 0.408 0.585
Os: 0.440 0.560 0.750
Os: 0.560 0.440 0.250

Most intense lines, 2θ = 10–80°, by intensity:
| two_theta | I/Imax |
| --- | --- |
| 44.83 | 100 |
| 20.14 | 72 |
| 40.72 | 67 |
| 37.49 | 66 |
| 40.93 | 65 |
| 45.04 | 59 |
| 44.02 | 34 |
| 31.56 | 32 |
| 31.29 | 32 |
| 71.21 | 29 |

***

Structure and theoretical powder diffractogram of TmCoGe2Os (a structure optimized by DFT (PBE); Cu Kα (weighted mean of Kα1 and Kα2)).
Kinematic intensities with the Lorentz-polarization factor, no thermal factor.

Lattice parameters (Å, degrees): 5.801 5.801 5.801 138.72 138.72 59.80
Fractional positions:
Tm: 0.000 0.000 0.000
Co: 0.750 0.250 0.500
Ge: 0.375 0.375 0.000
Ge: 0.625 0.625 0.000
Os: 0.250 0.750 0.500

Most intense lines, 2θ = 10–80°, by intensity:
| two_theta | I/Imax |
| --- | --- |
| 35.82 | 100 |
| 34.59 | 58 |
| 44.30 | 51 |
| 23.48 | 31 |
| 57.39 | 27 |
| 75.96 | 27 |
| 50.56 | 20 |
| 64.22 | 18 |
| 64.44 | 17 |
| 69.45 | 15 |

***

Structure and theoretical powder diffractogram of TmCoGe3Os (a structure optimized by DFT (PBE); Cu Kα (weighted mean of Kα1 and Kα2)).
Kinematic intensities with the Lorentz-polarization factor, no thermal factor.

Lattice parameters (Å, degrees): 7.146 7.146 5.403 90.00 90.00 117.00
Fractional positions:
Tm: 0.180 0.820 0.750
Tm: 0.820 0.180 0.250
Co: 0.444 0.556 0.250
Co: 0.556 0.444 0.750
Ge: 0.260 0.260 0.000
Ge: 0.260 0.260 0.500
Ge: 0.267 0.733 0.250
Ge: 0.733 0.267 0.750
Ge: 0.740 0.740 0.000
Ge: 0.740 0.740 0.500
Os: 0.076 0.924 0.250
Os: 0.924 0.076 0.750

Most intense lines, 2θ = 10–80°, by intensity:
| two_theta | I/Imax |
| --- | --- |
| 41.25 | 100 |
| 13.91 | 87 |
| 23.83 | 60 |
| 42.45 | 56 |
| 30.01 | 50 |
| 41.76 | 46 |
| 33.78 | 41 |
| 48.78 | 30 |
| 14.54 | 26 |
| 33.16 | 26 |

***

Structure and theoretical powder diffractogram of Co4Ge2P (a structure optimized by DFT (PBE); Cu Kα (weighted mean of Kα1 and Kα2)).
Kinematic intensities with the Lorentz-polarization factor, no thermal factor.

Lattice parameters (Å, degrees): 6.717 6.717 6.717 144.61 144.61 50.92
Fractional positions:
Co: 0.000 0.500 0.500
Co: 0.175 0.175 0.000
Co: 0.500 0.000 0.500
Co: 0.825 0.825 0.000
Ge: 0.367 0.367 0.000
Ge: 0.633 0.633 0.000
P: 0.000 0.000 0.000

Most intense lines, 2θ = 10–80°, by intensity:
| two_theta | I/Imax |
| --- | --- |
| 44.36 | 100 |
| 43.27 | 92 |
| 34.40 | 75 |
| 30.97 | 50 |
| 43.39 | 44 |
| 64.91 | 32 |
| 64.55 | 31 |
| 44.84 | 26 |
| 63.79 | 26 |
| 14.61 | 23 |

***

Structure and theoretical powder diffractogram of Pa3Co2Ge7 (a structure optimized by DFT (PBE); Cu Kα (weighted mean of Kα1 and Kα2)).
Kinematic intensities with the Lorentz-polarization factor, no thermal factor.

Lattice parameters (Å, degrees): 4.193 4.181 12.661 90.00 99.50 90.00
Fractional positions:
Pa: 0.000 0.000 0.000
Pa: 0.314 0.500 0.630
Pa: 0.686 0.500 0.370
Co: 0.127 0.000 0.257
Co: 0.873 0.000 0.743
Ge: 0.090 0.500 0.177
Ge: 0.222 0.000 0.443
Ge: 0.412 0.000 0.824
Ge: 0.500 0.500 0.000
Ge: 0.588 0.000 0.176
Ge: 0.778 0.000 0.557
Ge: 0.910 0.500 0.823

Most intense lines, 2θ = 10–80°, by intensity:
| two_theta | I/Imax |
| --- | --- |
| 35.24 | 100 |
| 35.92 | 39 |
| 43.15 | 24 |
| 43.28 | 24 |
| 57.36 | 20 |
| 23.76 | 20 |
| 30.40 | 16 |
| 62.77 | 16 |
| 22.43 | 14 |
| 38.92 | 13 |

***

Structure and theoretical powder diffractogram of Pa2Co3Ge2 (a structure optimized by DFT (PBE); Cu Kα (weighted mean of Kα1 and Kα2)).
Kinematic intensities with the Lorentz-polarization factor, no thermal factor.

Lattice parameters (Å, degrees): 5.909 5.891 7.778 90.00 119.47 90.00
Fractional positions:
Pa: 0.205 0.146 0.321
Pa: 0.205 0.354 0.821
Pa: 0.795 0.646 0.179
Pa: 0.795 0.854 0.679
Co: 0.000 0.000 0.500
Co: 0.000 0.500 0.000
Co: 0.220 0.609 0.544
Co: 0.220 0.891 0.044
Co: 0.780 0.109 0.956
Co: 0.780 0.391 0.456
Ge: 0.376 0.624 0.304
Ge: 0.376 0.876 0.804
Ge: 0.624 0.124 0.196
Ge: 0.624 0.376 0.696

Most intense lines, 2θ = 10–80°, by intensity:
| two_theta | I/Imax |
| --- | --- |
| 33.17 | 100 |
| 35.24 | 85 |
| 30.50 | 75 |
| 34.34 | 40 |
| 41.04 | 38 |
| 22.95 | 35 |
| 47.58 | 35 |
| 34.88 | 32 |
| 40.65 | 30 |
| 23.29 | 29 |

***

Structure and theoretical powder diffractogram of Pa3Co2Ge4 (a structure optimized by DFT (PBE); Cu Kα (weighted mean of Kα1 and Kα2)).
Kinematic intensities with the Lorentz-polarization factor, no thermal factor.

Lattice parameters (Å, degrees): 7.850 7.850 7.850 152.22 126.72 61.14
Fractional positions:
Pa: 0.000 0.000 0.000
Pa: 0.363 0.863 0.500
Pa: 0.637 0.137 0.500
Co: 0.322 0.500 0.822
Co: 0.678 0.500 0.178
Ge: 0.017 0.341 0.676
Ge: 0.335 0.659 0.676
Ge: 0.665 0.341 0.324
Ge: 0.983 0.659 0.324

Most intense lines, 2θ = 10–80°, by intensity:
| two_theta | I/Imax |
| --- | --- |
| 35.53 | 100 |
| 37.98 | 96 |
| 43.48 | 53 |
| 29.97 | 45 |
| 23.44 | 44 |
| 67.00 | 32 |
| 59.89 | 31 |
| 77.69 | 26 |
| 48.30 | 23 |
| 40.02 | 22 |

***

Structure and theoretical powder diffractogram of Pa2CoGe2 (a structure optimized by DFT (PBE); Cu Kα (weighted mean of Kα1 and Kα2)).
Kinematic intensities with the Lorentz-polarization factor, no thermal factor.

Lattice parameters (Å, degrees): 9.538 5.624 7.515 90.00 102.05 90.00
Fractional positions:
Pa: 0.119 0.145 0.082
Pa: 0.119 0.355 0.582
Pa: 0.341 0.614 0.996
Pa: 0.341 0.886 0.496
Pa: 0.659 0.114 0.504
Pa: 0.659 0.386 0.004
Pa: 0.881 0.645 0.418
Pa: 0.881 0.855 0.918
Co: 0.326 0.127 0.840
Co: 0.326 0.373 0.340
Co: 0.674 0.627 0.660
Co: 0.674 0.873 0.160
Ge: 0.122 0.642 0.222
Ge: 0.122 0.858 0.722
Ge: 0.438 0.104 0.160
Ge: 0.438 0.396 0.660
Ge: 0.562 0.604 0.340
Ge: 0.562 0.896 0.840
Ge: 0.878 0.142 0.278
Ge: 0.878 0.358 0.778

Most intense lines, 2θ = 10–80°, by intensity:
| two_theta | I/Imax |
| --- | --- |
| 36.22 | 100 |
| 37.74 | 55 |
| 37.30 | 54 |
| 33.65 | 50 |
| 43.41 | 49 |
| 34.10 | 45 |
| 38.61 | 41 |
| 24.80 | 40 |
| 31.93 | 39 |
| 39.43 | 36 |